1.
Structure and simulated XRD peak list of AlBr4 (a cell relaxed with PBE; Cu Kα, 1.54184 Å).

Largest 12 diffraction maxima, sorted by position, 10 to 80 degrees two-theta:
13.19°, d = 6.712 Å, rel. 269
16.17°, d = 5.480 Å, rel. 202
27.80°, d = 3.209 Å, rel. 1000
28.20°, d = 3.164 Å, rel. 180
41.18°, d = 2.192 Å, rel. 76
44.78°, d = 2.024 Å, rel. 107
47.92°, d = 1.898 Å, rel. 80
49.68°, d = 1.835 Å, rel. 86
49.92°, d = 1.827 Å, rel. 116
51.63°, d = 1.770 Å, rel. 101
60.74°, d = 1.525 Å, rel. 134
69.09°, d = 1.359 Å, rel. 71

Atomic structure:
a b c (Å): 13.4239 13.4239 13.4239
angles (deg): 60.00 60.00 60.00
Fractional coordinates of all 30 atoms:
1 Al 0.2500 0.2500 0.7500
2 Al 0.2500 0.7500 0.2500
3 Al 0.2500 0.7500 0.7500
4 Al 0.7500 0.2500 0.2500
5 Al 0.7500 0.2500 0.7500
6 Al 0.7500 0.7500 0.2500
7 Br 0.0803 0.2820 0.7180
8 Br 0.0803 0.7180 0.9197
9 Br 0.0803 0.9197 0.2820
10 Br 0.2180 0.4197 0.7820
11 Br 0.2180 0.5802 0.4198
12 Br 0.2180 0.7820 0.5803
13 Br 0.2820 0.0803 0.9197
14 Br 0.2820 0.7180 0.0803
15 Br 0.2820 0.9198 0.7180
16 Br 0.4198 0.2180 0.5802
17 Br 0.4197 0.5803 0.7820
18 Br 0.4197 0.7820 0.2180
19 Br 0.5803 0.2180 0.7820
20 Br 0.5803 0.4197 0.2180
21 Br 0.5803 0.7820 0.4197
22 Br 0.7180 0.0802 0.2820
23 Br 0.7180 0.2820 0.9197
24 Br 0.7180 0.9197 0.0803
25 Br 0.7820 0.2180 0.4197
26 Br 0.7820 0.4198 0.5802
27 Br 0.7820 0.5803 0.2180
28 Br 0.9197 0.0803 0.7180
29 Br 0.9197 0.2820 0.0803
30 Br 0.9197 0.7180 0.2820

=====

2.
Structure and simulated XRD peak list of AlBr3 (a cell relaxed with PBE; Cu Kα, 1.54184 Å).

Largest 12 diffraction maxima, sorted by position, 10 to 80 degrees two-theta:
14.13°, d = 6.269 Å, rel. 376
23.47°, d = 3.791 Å, rel. 251
23.93°, d = 3.718 Å, rel. 744
25.91°, d = 3.438 Å, rel. 895
26.72°, d = 3.336 Å, rel. 891
26.85°, d = 3.320 Å, rel. 1000
27.80°, d = 3.209 Å, rel. 828
36.42°, d = 2.467 Å, rel. 290
41.53°, d = 2.174 Å, rel. 463
46.29°, d = 1.962 Å, rel. 240
48.98°, d = 1.860 Å, rel. 300
50.25°, d = 1.816 Å, rel. 380

Atomic structure:
a b c (Å): 7.9079 7.5821 11.2568
angles (deg): 90.00 98.06 90.00
Fractional coordinates of all 16 atoms:
1 Al 0.1916 0.0886 0.0508
2 Al 0.1916 0.4114 0.5508
3 Al 0.8084 0.5886 0.4492
4 Al 0.8084 0.9114 0.9492
5 Br 0.0777 0.5645 0.3650
6 Br 0.0777 0.9355 0.8650
7 Br 0.2460 0.1262 0.5130
8 Br 0.2460 0.3738 0.0130
9 Br 0.3904 0.5789 0.6620
10 Br 0.3904 0.9211 0.1620
11 Br 0.6096 0.0789 0.8380
12 Br 0.6096 0.4211 0.3380
13 Br 0.7540 0.6262 0.9870
14 Br 0.7540 0.8738 0.4870
15 Br 0.9223 0.0645 0.1350
16 Br 0.9223 0.4355 0.6350

=====

3.
Structure and simulated XRD peak list of Al2CdBr8 (a cell relaxed with PBE; Cu Kα, 1.54184 Å).

Largest 12 diffraction maxima, sorted by position, 10 to 80 degrees two-theta:
13.48°, d = 6.566 Å, rel. 614
24.91°, d = 3.574 Å, rel. 277
27.16°, d = 3.283 Å, rel. 622
27.59°, d = 3.233 Å, rel. 1000
28.11°, d = 3.175 Å, rel. 991
28.75°, d = 3.105 Å, rel. 956
36.53°, d = 2.460 Å, rel. 312
36.67°, d = 2.450 Å, rel. 337
37.69°, d = 2.387 Å, rel. 305
42.73°, d = 2.116 Å, rel. 618
44.44°, d = 2.039 Å, rel. 307
48.21°, d = 1.888 Å, rel. 514

Atomic structure:
a b c (Å): 7.6277 7.4276 14.0634
angles (deg): 90.00 92.74 90.00
Fractional coordinates of all 22 atoms:
1 Al 0.0000 0.0683 0.0000
2 Al 0.0000 0.9317 0.5000
3 Al 0.4188 0.4287 0.8028
4 Al 0.4188 0.5713 0.3028
5 Cd 0.8558 0.2462 0.7649
6 Cd 0.8558 0.7538 0.2649
7 Br 0.0074 0.0639 0.3465
8 Br 0.0074 0.9361 0.8465
9 Br 0.1537 0.4365 0.7067
10 Br 0.1537 0.5635 0.2067
11 Br 0.2602 0.0602 0.0851
12 Br 0.2602 0.9398 0.5851
13 Br 0.3933 0.4179 0.4399
14 Br 0.3933 0.5821 0.9399
15 Br 0.5152 0.1270 0.8180
16 Br 0.5152 0.8730 0.3180
17 Br 0.6458 0.4469 0.2132
18 Br 0.6458 0.5531 0.7132
19 Br 0.7807 0.0852 0.5821
20 Br 0.7807 0.9148 0.0821
21 Br 0.9061 0.3630 0.9600
22 Br 0.9061 0.6370 0.4600

=====

4.
Structure and simulated XRD peak list of Na8Al6Si6BrClO24 (a cell relaxed with PBE; Cu Kα, 1.54184 Å).

Largest 12 diffraction maxima, sorted by position, 10 to 80 degrees two-theta:
13.93°, d = 6.356 Å, rel. 107
19.75°, d = 4.494 Å, rel. 78
24.25°, d = 3.670 Å, rel. 1000
34.57°, d = 2.595 Å, rel. 118
37.43°, d = 2.402 Å, rel. 265
42.67°, d = 2.119 Å, rel. 338
45.11°, d = 2.010 Å, rel. 63
58.04°, d = 1.589 Å, rel. 109
61.94°, d = 1.498 Å, rel. 119
63.83°, d = 1.458 Å, rel. 151
71.14°, d = 1.325 Å, rel. 60
78.13°, d = 1.223 Å, rel. 132

Atomic structure:
a b c (Å): 8.9890 8.9890 8.9890
angles (deg): 90.00 90.00 90.00
Fractional coordinates of all 46 atoms:
1 Na 0.1811 0.1811 0.1811
2 Na 0.1811 0.8189 0.8189
3 Na 0.3173 0.3173 0.6827
4 Na 0.3173 0.6827 0.3173
5 Na 0.6827 0.3173 0.3173
6 Na 0.6827 0.6827 0.6827
7 Na 0.8189 0.1811 0.8189
8 Na 0.8189 0.8189 0.1811
9 Al 0.0000 0.5000 0.2500
10 Al 0.0000 0.5000 0.7500
11 Al 0.2500 0.0000 0.5000
12 Al 0.5000 0.2500 0.0000
13 Al 0.5000 0.7500 0.0000
14 Al 0.7500 0.0000 0.5000
15 Si 0.0000 0.2500 0.5000
16 Si 0.0000 0.7500 0.5000
17 Si 0.2500 0.5000 0.0000
18 Si 0.5000 0.0000 0.2500
19 Si 0.5000 0.0000 0.7500
20 Si 0.7500 0.5000 0.0000
21 Br 0.5000 0.5000 0.5000
22 Cl 0.0000 0.0000 0.0000
23 O 0.0601 0.3500 0.6402
24 O 0.0601 0.6500 0.3598
25 O 0.1402 0.1500 0.4398
26 O 0.1402 0.8500 0.5602
27 O 0.1500 0.4398 0.1402
28 O 0.1500 0.5602 0.8598
29 O 0.3500 0.3598 0.9399
30 O 0.3500 0.6402 0.0601
31 O 0.3598 0.0601 0.6500
32 O 0.3598 0.9399 0.3500
33 O 0.4398 0.1402 0.1500
34 O 0.4398 0.8598 0.8500
35 O 0.5602 0.1402 0.8500
36 O 0.5602 0.8598 0.1500
37 O 0.6402 0.0601 0.3500
38 O 0.6402 0.9399 0.6500
39 O 0.6500 0.3598 0.0601
40 O 0.6500 0.6402 0.9399
41 O 0.8500 0.4398 0.8598
42 O 0.8500 0.5602 0.1402
43 O 0.8598 0.1500 0.5602
44 O 0.8598 0.8500 0.4398
45 O 0.9399 0.3500 0.3598
46 O 0.9399 0.6500 0.6402

=====

5.
Structure and simulated XRD peak list of AlSb2Te2BrCl4 (a cell relaxed with PBE; Cu Kα, 1.54184 Å).

Largest 12 diffraction maxima, sorted by position, 10 to 80 degrees two-theta:
13.12°, d = 6.750 Å, rel. 176
14.44°, d = 6.132 Å, rel. 296
28.90°, d = 3.090 Å, rel. 1000
29.26°, d = 3.052 Å, rel. 691
30.07°, d = 2.971 Å, rel. 428
31.95°, d = 2.801 Å, rel. 222
32.74°, d = 2.736 Å, rel. 310
33.57°, d = 2.669 Å, rel. 189
39.59°, d = 2.277 Å, rel. 186
42.55°, d = 2.125 Å, rel. 247
45.17°, d = 2.007 Å, rel. 175
50.17°, d = 1.818 Å, rel. 187

Atomic structure:
a b c (Å): 11.6035 11.6035 13.6524
angles (deg): 97.95 97.95 42.96
Fractional coordinates of all 40 atoms:
1 Al 0.1070 0.3555 0.1717
2 Al 0.3555 0.1070 0.6717
3 Al 0.6445 0.8930 0.3283
4 Al 0.8930 0.6445 0.8283
5 Sb 0.0577 0.8140 0.3916
6 Sb 0.1860 0.9423 0.1084
7 Sb 0.3124 0.5687 0.8912
8 Sb 0.4313 0.6876 0.6088
9 Sb 0.5687 0.3124 0.3912
10 Sb 0.6876 0.4313 0.1088
11 Sb 0.8140 0.0577 0.8916
12 Sb 0.9423 0.1860 0.6084
13 Te 0.0558 0.8026 0.0404
14 Te 0.1974 0.9442 0.4596
15 Te 0.3008 0.5480 0.5358
16 Te 0.4520 0.6992 0.9642
17 Te 0.5480 0.3008 0.0358
18 Te 0.6992 0.4520 0.4642
19 Te 0.8026 0.0558 0.5404
20 Te 0.9442 0.1974 0.9596
21 Br 0.1248 0.8752 0.7500
22 Br 0.3752 0.6248 0.2500
23 Br 0.6248 0.3752 0.7500
24 Br 0.8752 0.1248 0.2500
25 Cl 0.0552 0.2889 0.2845
26 Cl 0.1277 0.2918 0.5784
27 Cl 0.1338 0.4594 0.9134
28 Cl 0.2006 0.4600 0.2221
29 Cl 0.2889 0.0552 0.7845
30 Cl 0.2918 0.1277 0.0784
31 Cl 0.4594 0.1338 0.4134
32 Cl 0.4600 0.2006 0.7221
33 Cl 0.5400 0.7994 0.2779
34 Cl 0.5406 0.8662 0.5866
35 Cl 0.7082 0.8723 0.9216
36 Cl 0.7111 0.9448 0.2155
37 Cl 0.7994 0.5400 0.7779
38 Cl 0.8662 0.5406 0.0866
39 Cl 0.8723 0.7082 0.4216
40 Cl 0.9448 0.7111 0.7155